Computed powder X-ray diffraction pattern
Compound: ThZn4Ru2
Radiation: Cu Ka
Structure: a cell relaxed with PBE

The 10 most intense peaks (10 to 80 degrees two-theta), low angle first:
| 2θ/deg | intensity |
| --- | --- |
| 15.74 | 19 |
| 31.79 | 21 |
| 34.51 | 100 |
| 35.66 | 29 |
| 39.85 | 41 |
| 41.49 | 27 |
| 43.09 | 17 |
| 47.06 | 16 |
| 47.85 | 22 |
| 53.20 | 18 |

Structural model:
```
14
Lattice="7.9622 0.0000 0.0000 0.0000 7.9622 0.0000 0.0000 0.0000 3.8020" Properties=species:S:1:pos:R:3 pbc="T T T"
Th 0.0000 0.0000 0.0000
Th 3.9811 3.9811 1.9010
Zn 0.7768 2.8053 1.9010
Zn 1.1759 4.7579 0.0000
Zn 2.8053 0.7768 1.9010
Zn 3.2043 6.7864 0.0000
Zn 4.7579 1.1759 0.0000
Zn 5.1570 7.1854 1.9010
Zn 6.7864 3.2043 0.0000
Zn 7.1854 5.1570 1.9010
Ru 1.4439 6.5183 1.9010
Ru 2.5372 2.5372 0.0000
Ru 5.4250 5.4250 0.0000
Ru 6.5183 1.4439 1.9010
```